Diffraction record for In3Br2. The PXRD pattern is simulated, not measured: it uses DFT lattice parameters and positions (PBE) and a wavelength of 1.5418 Å.
Intensities are scaled so that the largest is 100.

Main lines, in order of falling intensity (2θ = 5–70°):
d [Å], 2theta, Rel. int.
2.820, 31.73, 100
2.740, 32.68, 90
1.612, 57.12, 35
1.965, 46.19, 33
3.931, 22.62, 33
1.628, 56.52, 19
1.568, 58.91, 16
6.621, 13.37, 12
1.410, 66.28, 11
4.885, 18.16, 10

Crystal structure
```
data_In3Br2
_symmetry_space_group_name_H-M 'P 1'
_symmetry_Int_Tables_number 1
_cell_length_a 5.640
_cell_length_b 5.640
_cell_length_c 6.621
_cell_angle_alpha 90.00
_cell_angle_beta 90.00
_cell_angle_gamma 120.00
loop_
_symmetry_equiv_pos_as_xyz
'x,y,z'
loop_
_atom_site_label
_atom_site_fract_x
_atom_site_fract_y
_atom_site_fract_z
_atom_site_occupancy
In1 0.000 0.000 0.000 1
In2 0.333 0.667 0.312 1
In3 0.667 0.333 0.688 1
Br1 0.333 0.667 0.834 1
Br2 0.667 0.333 0.166 1
```

---

Diffraction record for InBr. The PXRD pattern is simulated, not measured: it uses DFT lattice parameters and positions (PBE) and a wavelength of 1.5418 Å.
Intensities are scaled so that the largest is 100.

Main lines, in order of falling intensity (2θ = 5–70°):
d [Å], 2theta, Rel. int.
2.897, 30.87, 100
3.373, 26.42, 40
2.835, 31.56, 35
2.821, 31.71, 35
2.000, 45.35, 25
2.167, 41.68, 23
1.648, 55.77, 18
1.643, 55.96, 18
1.616, 56.98, 17
1.970, 46.08, 17

Crystal structure
```
data_InBr
_symmetry_space_group_name_H-M 'P 1'
_symmetry_Int_Tables_number 1
_cell_length_a 5.643
_cell_length_b 5.670
_cell_length_c 4.202
_cell_angle_alpha 90.00
_cell_angle_beta 90.00
_cell_angle_gamma 90.00
loop_
_symmetry_equiv_pos_as_xyz
'x,y,z'
loop_
_atom_site_label
_atom_site_fract_x
_atom_site_fract_y
_atom_site_fract_z
_atom_site_occupancy
In1 0.250 0.250 0.128 1
In2 0.750 0.750 0.872 1
Br1 0.250 0.750 0.498 1
Br2 0.750 0.250 0.502 1
```

---

Diffraction record for In3IrBr. The PXRD pattern is simulated, not measured: it uses DFT lattice parameters and positions (PBE) and a wavelength of 1.5418 Å.
Intensities are scaled so that the largest is 100.

Main lines, in order of falling intensity (2θ = 5–70°):
d [Å], 2theta, Rel. int.
9.445, 9.36, 100
2.180, 41.43, 23
2.355, 38.22, 18
2.361, 38.11, 18
2.387, 37.69, 17
2.090, 43.28, 15
3.149, 28.34, 11
2.753, 32.52, 11
2.202, 40.98, 8
4.540, 19.55, 8

Crystal structure
```
data_In3IrBr
_symmetry_space_group_name_H-M 'P 1'
_symmetry_Int_Tables_number 1
_cell_length_a 10.062
_cell_length_b 10.062
_cell_length_c 10.062
_cell_angle_alpha 104.22
_cell_angle_beta 86.62
_cell_angle_gamma 144.41
loop_
_symmetry_equiv_pos_as_xyz
'x,y,z'
loop_
_atom_site_label
_atom_site_fract_x
_atom_site_fract_y
_atom_site_fract_z
_atom_site_occupancy
In1 0.007 0.128 0.135 1
In2 0.210 0.846 0.056 1
In3 0.236 0.127 0.363 1
In4 0.264 0.627 0.890 1
In5 0.290 0.346 0.636 1
In6 0.493 0.628 0.121 1
In7 0.507 0.372 0.879 1
In8 0.710 0.654 0.364 1
In9 0.736 0.373 0.110 1
In10 0.764 0.873 0.637 1
In11 0.790 0.154 0.944 1
In12 0.993 0.872 0.865 1
Ir1 0.125 0.250 0.875 1
Ir2 0.375 0.250 0.125 1
Ir3 0.625 0.750 0.875 1
Ir4 0.875 0.750 0.125 1
Br1 0.078 0.337 0.414 1
Br2 0.422 0.837 0.259 1
Br3 0.578 0.163 0.741 1
Br4 0.922 0.663 0.586 1
```

---

Diffraction record for K2In3Br8. The PXRD pattern is simulated, not measured: it uses DFT lattice parameters and positions (PBE) and a wavelength of 1.5418 Å.
Intensities are scaled so that the largest is 100.

Main lines, in order of falling intensity (2θ = 5–70°):
d [Å], 2theta, Rel. int.
3.152, 28.31, 100
6.958, 12.72, 90
3.019, 29.59, 56
2.634, 34.04, 51
2.497, 35.97, 46
3.586, 24.83, 41
2.905, 30.78, 40
5.385, 16.46, 37
1.907, 47.70, 36
3.338, 26.71, 30

Crystal structure
```
data_K2In3Br8
_symmetry_space_group_name_H-M 'P 1'
_symmetry_Int_Tables_number 1
_cell_length_a 7.944
_cell_length_b 7.944
_cell_length_c 8.735
_cell_angle_alpha 93.39
_cell_angle_beta 93.39
_cell_angle_gamma 57.23
loop_
_symmetry_equiv_pos_as_xyz
'x,y,z'
loop_
_atom_site_label
_atom_site_fract_x
_atom_site_fract_y
_atom_site_fract_z
_atom_site_occupancy
K1 0.203 0.203 0.106 1
K2 0.797 0.797 0.894 1
In1 0.289 0.711 0.500 1
In2 0.500 0.500 0.000 1
In3 0.711 0.289 0.500 1
Br1 0.125 0.125 0.450 1
Br2 0.163 0.659 0.168 1
Br3 0.341 0.837 0.832 1
Br4 0.348 0.348 0.796 1
Br5 0.652 0.652 0.204 1
Br6 0.659 0.163 0.168 1
Br7 0.837 0.341 0.832 1
Br8 0.875 0.875 0.550 1
```

---

Diffraction record for K4InBr8. The PXRD pattern is simulated, not measured: it uses DFT lattice parameters and positions (PBE) and a wavelength of 1.5418 Å.
Intensities are scaled so that the largest is 100.

Main lines, in order of falling intensity (2θ = 5–70°):
d [Å], 2theta, Rel. int.
2.863, 31.25, 100
2.739, 32.69, 79
4.248, 20.91, 70
1.679, 54.68, 39
2.302, 39.13, 39
2.123, 42.57, 34
1.604, 57.44, 32
3.874, 22.96, 30
1.937, 46.90, 28
3.357, 26.55, 27

Crystal structure
```
data_K4InBr8
_symmetry_space_group_name_H-M 'P 1'
_symmetry_Int_Tables_number 1
_cell_length_a 8.837
_cell_length_b 8.837
_cell_length_c 8.837
_cell_angle_alpha 103.37
_cell_angle_beta 103.37
_cell_angle_gamma 122.52
loop_
_symmetry_equiv_pos_as_xyz
'x,y,z'
loop_
_atom_site_label
_atom_site_fract_x
_atom_site_fract_y
_atom_site_fract_z
_atom_site_occupancy
K1 0.000 0.000 0.500 1
K2 0.000 0.500 0.000 1
K3 0.500 0.000 0.000 1
K4 0.500 0.500 0.500 1
In1 0.000 0.000 0.000 1
Br1 0.000 0.238 0.238 1
Br2 0.000 0.762 0.762 1
Br3 0.238 0.000 0.238 1
Br4 0.249 0.500 0.749 1
Br5 0.500 0.249 0.749 1
Br6 0.500 0.751 0.251 1
Br7 0.751 0.500 0.251 1
Br8 0.762 0.000 0.762 1
```

---

Diffraction record for KIn3Br6. The PXRD pattern is simulated, not measured: it uses DFT lattice parameters and positions (PBE) and a wavelength of 1.5418 Å.
Intensities are scaled so that the largest is 100.

Main lines, in order of falling intensity (2θ = 5–70°):
d [Å], 2theta, Rel. int.
6.853, 12.92, 100
3.434, 25.94, 62
2.783, 32.16, 61
2.641, 33.94, 56
3.037, 29.41, 55
2.837, 31.53, 47
3.237, 27.55, 42
3.165, 28.20, 41
2.256, 39.96, 41
4.077, 21.80, 36

Crystal structure
```
data_KIn3Br6
_symmetry_space_group_name_H-M 'P 1'
_symmetry_Int_Tables_number 1
_cell_length_a 7.505
_cell_length_b 8.696
_cell_length_c 13.028
_cell_angle_alpha 90.00
_cell_angle_beta 121.30
_cell_angle_gamma 90.00
loop_
_symmetry_equiv_pos_as_xyz
'x,y,z'
loop_
_atom_site_label
_atom_site_fract_x
_atom_site_fract_y
_atom_site_fract_z
_atom_site_occupancy
K1 0.000 0.000 0.000 1
K2 0.000 0.500 0.500 1
In1 0.198 0.072 0.727 1
In2 0.198 0.428 0.227 1
In3 0.500 0.000 0.500 1
In4 0.500 0.500 0.000 1
In5 0.802 0.572 0.773 1
In6 0.802 0.928 0.273 1
Br1 0.162 0.162 0.470 1
Br2 0.162 0.338 0.970 1
Br3 0.261 0.742 0.416 1
Br4 0.261 0.758 0.916 1
Br5 0.400 0.074 0.273 1
Br6 0.400 0.426 0.773 1
Br7 0.600 0.574 0.227 1
Br8 0.600 0.926 0.727 1
Br9 0.739 0.242 0.084 1
Br10 0.739 0.258 0.584 1
Br11 0.838 0.662 0.030 1
Br12 0.838 0.838 0.530 1
```

---

Diffraction record for KInBr4. The PXRD pattern is simulated, not measured: it uses DFT lattice parameters and positions (PBE) and a wavelength of 1.5418 Å.
Intensities are scaled so that the largest is 100.

Main lines, in order of falling intensity (2θ = 5–70°):
d [Å], 2theta, Rel. int.
4.135, 21.49, 100
3.821, 23.28, 71
2.594, 34.58, 67
6.419, 13.80, 54
3.078, 29.01, 51
3.540, 25.16, 48
2.148, 42.07, 43
1.874, 48.59, 43
3.145, 28.38, 35
5.405, 16.40, 33

Crystal structure
```
data_KInBr4
_symmetry_space_group_name_H-M 'P 1'
_symmetry_Int_Tables_number 1
_cell_length_a 7.988
_cell_length_b 10.832
_cell_length_c 10.782
_cell_angle_alpha 90.00
_cell_angle_beta 90.00
_cell_angle_gamma 90.00
loop_
_symmetry_equiv_pos_as_xyz
'x,y,z'
loop_
_atom_site_label
_atom_site_fract_x
_atom_site_fract_y
_atom_site_fract_z
_atom_site_occupancy
K1 0.181 0.250 0.250 1
K2 0.319 0.750 0.250 1
K3 0.681 0.250 0.750 1
K4 0.819 0.750 0.750 1
In1 0.250 0.000 0.679 1
In2 0.250 0.500 0.821 1
In3 0.750 0.000 0.321 1
In4 0.750 0.500 0.179 1
Br1 0.005 0.539 0.317 1
Br2 0.005 0.961 0.183 1
Br3 0.159 0.685 0.950 1
Br4 0.159 0.815 0.550 1
Br5 0.341 0.185 0.550 1
Br6 0.341 0.315 0.950 1
Br7 0.495 0.039 0.183 1
Br8 0.495 0.461 0.317 1
Br9 0.505 0.539 0.683 1
Br10 0.505 0.961 0.817 1
Br11 0.659 0.685 0.050 1
Br12 0.659 0.815 0.450 1
Br13 0.841 0.185 0.450 1
Br14 0.841 0.315 0.050 1
Br15 0.995 0.039 0.817 1
Br16 0.995 0.461 0.683 1
```

---

Diffraction record for K5InBr8. The PXRD pattern is simulated, not measured: it uses DFT lattice parameters and positions (PBE) and a wavelength of 1.5418 Å.
Intensities are scaled so that the largest is 100.

Main lines, in order of falling intensity (2θ = 5–70°):
d [Å], 2theta, Rel. int.
2.404, 37.41, 100
3.926, 22.65, 70
3.400, 26.21, 63
4.100, 21.67, 46
6.799, 13.02, 31
2.050, 44.18, 28
1.388, 67.48, 24
4.808, 18.45, 24
1.886, 48.26, 19
2.617, 34.26, 16

Crystal structure
```
data_K5InBr8
_symmetry_space_group_name_H-M 'P 1'
_symmetry_Int_Tables_number 1
_cell_length_a 9.616
_cell_length_b 9.616
_cell_length_c 9.616
_cell_angle_alpha 60.00
_cell_angle_beta 60.00
_cell_angle_gamma 60.00
loop_
_symmetry_equiv_pos_as_xyz
'x,y,z'
loop_
_atom_site_label
_atom_site_fract_x
_atom_site_fract_y
_atom_site_fract_z
_atom_site_occupancy
K1 0.000 0.000 0.000 1
K2 0.096 0.635 0.635 1
K3 0.635 0.096 0.635 1
K4 0.635 0.635 0.096 1
K5 0.635 0.635 0.635 1
In1 0.250 0.250 0.250 1
Br1 0.359 0.359 0.359 1
Br2 0.359 0.359 0.923 1
Br3 0.359 0.923 0.359 1
Br4 0.399 0.867 0.867 1
Br5 0.867 0.399 0.867 1
Br6 0.867 0.867 0.399 1
Br7 0.867 0.867 0.867 1
Br8 0.923 0.359 0.359 1
```

---

Diffraction record for KIn2PdBr8. The PXRD pattern is simulated, not measured: it uses DFT lattice parameters and positions (PBE) and a wavelength of 1.5418 Å.
Intensities are scaled so that the largest is 100.

Main lines, in order of falling intensity (2θ = 5–70°):
d [Å], 2theta, Rel. int.
3.430, 25.98, 100
1.980, 45.82, 78
2.089, 43.30, 71
4.749, 18.68, 71
2.454, 36.62, 54
2.875, 31.11, 51
3.513, 25.35, 49
3.262, 27.34, 49
5.839, 15.17, 35
1.725, 53.09, 32

Crystal structure
```
data_KIn2PdBr8
_symmetry_space_group_name_H-M 'P 1'
_symmetry_Int_Tables_number 1
_cell_length_a 11.258
_cell_length_b 11.258
_cell_length_c 11.258
_cell_angle_alpha 35.48
_cell_angle_beta 35.48
_cell_angle_gamma 35.48
loop_
_symmetry_equiv_pos_as_xyz
'x,y,z'
loop_
_atom_site_label
_atom_site_fract_x
_atom_site_fract_y
_atom_site_fract_z
_atom_site_occupancy
K1 0.000 0.000 0.000 1
In1 0.248 0.248 0.248 1
In2 0.752 0.752 0.752 1
Pd1 0.500 0.500 0.500 1
Br1 0.137 0.421 0.767 1
Br2 0.233 0.579 0.863 1
Br3 0.329 0.329 0.329 1
Br4 0.421 0.767 0.137 1
Br5 0.579 0.863 0.233 1
Br6 0.671 0.671 0.671 1
Br7 0.767 0.137 0.421 1
Br8 0.863 0.233 0.579 1
```

---

Diffraction record for KRbInBr4. The PXRD pattern is simulated, not measured: it uses DFT lattice parameters and positions (PBE) and a wavelength of 1.5418 Å.
Intensities are scaled so that the largest is 100.

Main lines, in order of falling intensity (2θ = 5–70°):
d [Å], 2theta, Rel. int.
2.822, 31.71, 100
8.684, 10.19, 63
2.021, 44.85, 60
3.991, 22.27, 45
2.895, 30.89, 43
2.958, 30.21, 41
5.368, 16.51, 40
2.938, 30.42, 39
1.996, 45.45, 36
1.643, 55.97, 31

Crystal structure
```
data_KRbInBr4
_symmetry_space_group_name_H-M 'P 1'
_symmetry_Int_Tables_number 1
_cell_length_a 9.556
_cell_length_b 9.556
_cell_length_c 7.987
_cell_angle_alpha 90.00
_cell_angle_beta 90.00
_cell_angle_gamma 130.66
loop_
_symmetry_equiv_pos_as_xyz
'x,y,z'
loop_
_atom_site_label
_atom_site_fract_x
_atom_site_fract_y
_atom_site_fract_z
_atom_site_occupancy
K1 0.110 0.890 0.750 1
K2 0.890 0.110 0.250 1
Rb1 0.391 0.609 0.750 1
Rb2 0.609 0.391 0.250 1
In1 0.248 0.752 0.250 1
In2 0.752 0.248 0.750 1
Br1 0.000 0.500 0.000 1
Br2 0.000 0.500 0.500 1
Br3 0.079 0.921 0.250 1
Br4 0.416 0.584 0.250 1
Br5 0.500 0.000 0.000 1
Br6 0.500 0.000 0.500 1
Br7 0.584 0.416 0.750 1
Br8 0.921 0.079 0.750 1
```

---

Diffraction record for K2SrInBr5. The PXRD pattern is simulated, not measured: it uses DFT lattice parameters and positions (PBE) and a wavelength of 1.5418 Å.
Intensities are scaled so that the largest is 100.

Main lines, in order of falling intensity (2θ = 5–70°):
d [Å], 2theta, Rel. int.
3.501, 25.44, 100
2.700, 33.19, 73
2.609, 34.38, 71
8.480, 10.43, 66
3.947, 22.53, 49
2.292, 39.30, 44
3.195, 27.92, 44
2.989, 29.89, 40
2.222, 40.60, 34
4.791, 18.52, 23

Crystal structure
```
data_K2SrInBr5
_symmetry_space_group_name_H-M 'P 1'
_symmetry_Int_Tables_number 1
_cell_length_a 9.853
_cell_length_b 9.853
_cell_length_c 16.959
_cell_angle_alpha 90.00
_cell_angle_beta 90.00
_cell_angle_gamma 153.09
loop_
_symmetry_equiv_pos_as_xyz
'x,y,z'
loop_
_atom_site_label
_atom_site_fract_x
_atom_site_fract_y
_atom_site_fract_z
_atom_site_occupancy
K1 0.052 0.948 0.500 1
K2 0.152 0.848 0.094 1
K3 0.848 0.152 0.594 1
K4 0.948 0.052 0.000 1
Sr1 0.258 0.742 0.868 1
Sr2 0.742 0.258 0.368 1
In1 0.445 0.555 0.276 1
In2 0.555 0.445 0.776 1
Br1 0.101 0.899 0.899 1
Br2 0.234 0.766 0.495 1
Br3 0.258 0.742 0.249 1
Br4 0.415 0.585 0.866 1
Br5 0.470 0.530 0.607 1
Br6 0.530 0.470 0.107 1
Br7 0.585 0.415 0.366 1
Br8 0.742 0.258 0.749 1
Br9 0.766 0.234 0.995 1
Br10 0.899 0.101 0.399 1
```

---

Diffraction record for KYIn2Br6. The PXRD pattern is simulated, not measured: it uses DFT lattice parameters and positions (PBE) and a wavelength of 1.5418 Å.
Intensities are scaled so that the largest is 100.

Main lines, in order of falling intensity (2θ = 5–70°):
d [Å], 2theta, Rel. int.
3.504, 25.42, 100
2.638, 33.99, 97
2.344, 38.40, 53
2.914, 30.69, 43
5.827, 15.20, 38
4.184, 21.24, 35
2.367, 38.01, 34
2.010, 45.11, 23
6.663, 13.29, 21
3.331, 26.76, 21

Crystal structure
```
data_KYIn2Br6
_symmetry_space_group_name_H-M 'P 1'
_symmetry_Int_Tables_number 1
_cell_length_a 8.112
_cell_length_b 8.124
_cell_length_c 8.372
_cell_angle_alpha 90.04
_cell_angle_beta 118.97
_cell_angle_gamma 119.94
loop_
_symmetry_equiv_pos_as_xyz
'x,y,z'
loop_
_atom_site_label
_atom_site_fract_x
_atom_site_fract_y
_atom_site_fract_z
_atom_site_occupancy
K1 0.000 0.000 0.000 1
Y1 0.985 0.492 0.477 1
In1 0.582 0.291 0.872 1
In2 0.593 0.797 0.390 1
Br1 0.078 0.389 0.220 1
Br2 0.080 0.251 0.692 1
Br3 0.441 0.829 0.692 1
Br4 0.532 0.144 0.220 1
Br5 0.832 0.688 0.220 1
Br6 0.862 0.612 0.692 1
```